For HgRuIO4, the GGA-PBE geometry in Alexandria gives the computed powder XRD pattern in this record (Cu Kα, 1.54184 Å).
Neutral-atom scattering factors, no anomalous dispersion.

Structural model:
Unit cell a=9.754 b=9.045 c=8.670 alpha=90.00 beta=102.03 gamma=90.00
Space group C2/m (No. 12)
Asymmetric unit:
Hg  0.195  0.000  0.025
Ru  0.095  0.500  0.239
I  0.026  0.000  0.255
O  0.088  0.500  0.785
O  0.151  0.353  0.134
O  0.186  0.500  0.431

The 10 most intense peaks (5° ≤ 2θ ≤ 70°), in order of rising 2θ:
d [Å]	intensity	hkl
8.480	84	0 0 1
4.522	100	0 2 0
3.990	23	0 2 1
3.829	37	2 0 1
2.923	25	2 2 1
2.884	23	2 0 2
2.797	25	2 2 -2
2.713	31	3 1 -2
2.432	24	2 2 2
1.908	18	5 1 -1